No. 1
Starting from a cell relaxed with GGA-PBE, the XRD peak list of AcDyHo2Se4 was computed for copper Kα.
Intensities are scaled so that the largest is 100.

Peak list (6 most intense, 10 to 80 degrees two-theta, by angle)
| hkl | two_theta | intensity |
| --- | --- | --- |
| 1 1 -1 | 26.5 | 13 |
| 1 1 1 | 30.3 | 100 |
| 2 0 2 | 42.5 | 13 |
| 1 1 -3 | 42.9 | 26 |
| 3 1 -1 | 43.9 | 24 |
| 2 2 -2 | 54.7 | 13 |

Atomic structure:
```
data_AcDyHo2Se4
_cell_length_a 7.1657
_cell_length_b 4.0848
_cell_length_c 7.3878
_cell_angle_alpha 90.00
_cell_angle_beta 108.44
_cell_angle_gamma 90.00
_space_group_name_H-M_alt 'P 1 2/m 1'
_space_group_IT_number 10
_space_group_name_Hall '-P 2y'
loop_
_atom_site_label
_atom_site_fract_x
_atom_site_fract_y
_atom_site_fract_z
Ac1 0.0000 0.0000 0.0000
Dy1 0.5000 0.5000 0.0000
Ho1 0.0000 0.5000 0.5000
Ho2 0.5000 0.0000 0.5000
Se1 0.2576 0.0000 0.7379
Se2 0.2691 0.5000 0.2716
```


No. 2
Starting from a cell relaxed with GGA-PBE, the XRD peak list of AcTb2DyHo was computed for copper Kα.
Intensities are scaled so that the largest is 100.

Peak list (6 most intense, 10 to 80 degrees two-theta, by angle)
| hkl | two_theta | intensity |
| --- | --- | --- |
| 1 0 -3 | 27.9 | 23 |
| 0 2 0 | 30.7 | 37 |
| 1 1 2 | 31.9 | 100 |
| 2 1 -1 | 32.1 | 50 |
| 1 2 -3 | 42.0 | 16 |
| 2 3 -1 | 55.4 | 32 |

Atomic structure:
```
data_AcTb2DyHo
_cell_length_a 6.3637
_cell_length_b 5.8206
_cell_length_c 9.7652
_cell_angle_alpha 90.00
_cell_angle_beta 108.84
_cell_angle_gamma 90.00
_space_group_name_H-M_alt 'P 1 21/m 1'
_space_group_IT_number 11
_space_group_name_Hall '-P 2yb'
loop_
_atom_site_label
_atom_site_fract_x
_atom_site_fract_y
_atom_site_fract_z
Ac1 0.1374 0.2500 0.1070
Tb1 0.2640 0.7500 0.6959
Tb2 0.3385 0.2500 0.5040
Dy1 0.0690 0.7500 0.3119
Ho1 0.4796 0.7500 0.1065
```


No. 3
Starting from a cell relaxed with GGA-PBE, the XRD peak list of AcTb6DyHo2 was computed for copper Kα.
Intensities are scaled so that the largest is 100.

Peak list (6 most intense, 10 to 80 degrees two-theta, by angle)
| hkl | two_theta | intensity |
| --- | --- | --- |
| 1 3 2 | 28.1 | 37 |
| 3 1 -1 | 30.4 | 53 |
| 2 2 2 | 30.6 | 100 |
| 1 5 0 | 30.9 | 39 |
| 2 4 -1 | 31.4 | 32 |
| 1 3 -3 | 34.0 | 36 |

Atomic structure:
```
data_AcTb6DyHo2
_cell_length_a 9.2281
_cell_length_b 15.2500
_cell_length_c 9.5437
_cell_angle_alpha 90.00
_cell_angle_beta 95.17
_cell_angle_gamma 90.00
_space_group_name_H-M_alt 'C 1 2/c 1'
_space_group_IT_number 15
_space_group_name_Hall '-C 2yc'
loop_
_atom_site_label
_atom_site_fract_x
_atom_site_fract_y
_atom_site_fract_z
Ac1 0.0000 0.0293 0.2500
Tb1 0.0609 0.1886 0.9434
Tb2 0.1010 0.3895 0.1168
Tb3 0.2151 0.2291 0.3186
Dy1 0.0000 0.4119 0.7500
Ho1 0.2407 0.4433 0.4516
```


No. 4
Starting from a cell relaxed with GGA-PBE, the XRD peak list of AcDyHoTm was computed for copper Kα.
Intensities are scaled so that the largest is 100.

Peak list (6 most intense, 10 to 80 degrees two-theta, by angle)
| hkl | two_theta | intensity |
| --- | --- | --- |
| 0 1 2 | 28.6 | 26 |
| 0 0 12 | 30.5 | 45 |
| 0 1 5 | 30.9 | 100 |
| 1 0 7 | 33.4 | 70 |
| 1 1 0 | 49.8 | 37 |
| 1 1 12 | 59.5 | 42 |

Atomic structure:
```
data_AcDyHoTm
_cell_length_a 3.6651
_cell_length_b 3.6651
_cell_length_c 35.1705
_cell_angle_alpha 90.00
_cell_angle_beta 90.00
_cell_angle_gamma 120.00
_space_group_name_H-M_alt 'R 3 m'
_space_group_IT_number 160
_space_group_name_Hall 'R 3 -2"'
loop_
_atom_site_label
_atom_site_fract_x
_atom_site_fract_y
_atom_site_fract_z
Ac1 0.0000 0.0000 0.0000
Dy1 0.0000 0.0000 0.5781
Ho1 0.0000 0.0000 0.7537
Tm1 0.0000 0.0000 0.1654
```


No. 5
Starting from a cell relaxed with GGA-PBE, the XRD peak list of AcDyI2O8 was computed for copper Kα.
Intensities are scaled so that the largest is 100.

Peak list (6 most intense, 10 to 80 degrees two-theta, by angle)
| hkl | two_theta | intensity |
| --- | --- | --- |
| 1 0 0 | 16.3 | 65 |
| 0 1 1 | 20.5 | 70 |
| 1 1 0 | 28.4 | 100 |
| 1 0 2 | 29.9 | 92 |
| 0 2 2 | 41.7 | 49 |
| 2 1 2 | 51.3 | 48 |

Atomic structure:
```
data_AcDyI2O8
_cell_length_a 6.2773
_cell_length_b 6.2773
_cell_length_c 7.1556
_cell_angle_alpha 90.00
_cell_angle_beta 90.00
_cell_angle_gamma 120.00
_space_group_name_H-M_alt 'P -3 m 1'
_space_group_IT_number 164
_space_group_name_Hall '-P 3 2"'
loop_
_atom_site_label
_atom_site_fract_x
_atom_site_fract_y
_atom_site_fract_z
Ac1 0.0000 0.0000 0.0000
Dy1 0.0000 0.0000 0.5000
I1 0.3333 0.6667 0.2762
O1 0.1510 0.3019 0.2806
O2 0.3333 0.6667 0.0238
```


No. 6
Starting from a cell relaxed with GGA-PBE, the XRD peak list of Ac2DyIn12Ir3 was computed for copper Kα.
Intensities are scaled so that the largest is 100.

Peak list (6 most intense, 10 to 80 degrees two-theta, by angle)
| hkl | two_theta | intensity |
| --- | --- | --- |
| 0 2 1 | 21.2 | 80 |
| 2 0 2 | 22.6 | 35 |
| 1 2 2 | 29.0 | 48 |
| 1 0 7 | 33.8 | 34 |
| 2 2 0 | 36.3 | 100 |
| 3 2 7 | 57.3 | 29 |

Atomic structure:
```
data_Ac2DyIn12Ir3
_cell_length_a 9.8986
_cell_length_b 9.8986
_cell_length_c 19.5155
_cell_angle_alpha 90.00
_cell_angle_beta 90.00
_cell_angle_gamma 120.00
_space_group_name_H-M_alt 'R -3 m'
_space_group_IT_number 166
_space_group_name_Hall '-R 3 2"'
loop_
_atom_site_label
_atom_site_fract_x
_atom_site_fract_y
_atom_site_fract_z
Ac1 0.0000 0.0000 0.0896
Dy1 0.0000 0.0000 0.5000
In1 0.0361 0.5181 0.8662
In2 0.0703 0.5351 0.3206
Ir1 0.0000 0.5000 0.0000
```


No. 7
Starting from a cell relaxed with GGA-PBE, the XRD peak list of AcLaDy2In4 was computed for copper Kα.
Intensities are scaled so that the largest is 100.

Peak list (6 most intense, 10 to 80 degrees two-theta, by angle)
| hkl | two_theta | intensity |
| --- | --- | --- |
| 1 1 0 | 32.4 | 100 |
| 2 0 8 | 46.5 | 18 |
| 1 0 16 | 57.8 | 9 |
| 3 0 0 | 57.9 | 28 |
| 2 1 16 | 77.3 | 8 |
| 3 1 8 | 77.4 | 8 |

Atomic structure:
```
data_AcLaDy2In4
_cell_length_a 5.5121
_cell_length_b 5.5121
_cell_length_c 27.0962
_cell_angle_alpha 90.00
_cell_angle_beta 90.00
_cell_angle_gamma 120.00
_space_group_name_H-M_alt 'R -3 m'
_space_group_IT_number 166
_space_group_name_Hall '-R 3 2"'
loop_
_atom_site_label
_atom_site_fract_x
_atom_site_fract_y
_atom_site_fract_z
Ac1 0.0000 0.0000 0.0000
La1 0.0000 0.0000 0.5000
Dy1 0.0000 0.0000 0.2499
In1 0.0000 0.0000 0.1265
In2 0.0000 0.0000 0.3767
```


No. 8
Starting from a cell relaxed with GGA-PBE, the XRD peak list of Ac5DyIr4 was computed for copper Kα.
Intensities are scaled so that the largest is 100.

Peak list (6 most intense, 10 to 80 degrees two-theta, by angle)
| hkl | two_theta | intensity |
| --- | --- | --- |
| 2 0 1 | 23.1 | 47 |
| 2 1 1 | 24.8 | 26 |
| 0 3 1 | 29.2 | 57 |
| 2 2 2 | 36.2 | 100 |
| 4 0 0 | 39.8 | 30 |
| 4 3 1 | 50.2 | 25 |

Atomic structure:
```
data_Ac5DyIr4
_cell_length_a 9.0518
_cell_length_b 10.0823
_cell_length_c 7.3273
_cell_angle_alpha 90.00
_cell_angle_beta 90.00
_cell_angle_gamma 90.00
_space_group_name_H-M_alt 'P m m n'
_space_group_IT_number 59
loop_
_space_group_symop_operation_xyz
'x,y,z'
'-x,-y,-z'
'-x+1/2,-y+1/2,z'
'x+1/2,y+1/2,-z'
'x+1/2,-y,-z'
'-x+1/2,y,z'
'-x,y+1/2,-z'
'x,-y+1/2,z'
loop_
_atom_site_label
_atom_site_fract_x
_atom_site_fract_y
_atom_site_fract_z
Ac1 0.0061 0.0545 0.2440
Ac2 0.2500 0.2500 0.7049
Dy1 0.2500 0.7500 0.3155
Ir1 0.0148 0.7500 0.0711
Ir2 0.2500 0.5061 0.5034
```